[1]
Structure and theoretical XRD peak list of Ac4Pr (a DFT-relaxed cell (PBE, Alexandria); CuKα).
Neutral-atom scattering factors, no anomalous dispersion.

Principal peaks in the range 2θ = 15–90°, in order of rising 2θ:
- (2 0 1), 2θ 27.65, I 100
- (0 0 5), 2θ 27.86, I 32
- (1 1 3), 2θ 32.10, I 68
- (3 1 -1), 2θ 45.86, I 17
- (2 0 6), 2θ 46.16, I 25
- (2 2 1), 2θ 54.50, I 31
- (0 2 5), 2θ 54.60, I 10
- (4 0 2), 2θ 57.10, I 14

Cell and atoms:
abc: 6.8595 3.9490 16.1789
angles: 90.00 98.25 90.00
Space group C2/m (No. 12)
One atom of each set of equivalent atoms:
Ac 0.1028 0.0000 0.3070 x4
Ac 0.2006 0.5000 0.1024 x4
Pr 0.0000 0.5000 0.5000 x2


[2]
Structure and theoretical XRD peak list of Hf3GaAu (a DFT-relaxed cell (PBE, Alexandria); CuKα).
Neutral-atom scattering factors, no anomalous dispersion.

Principal peaks in the range 2θ = 15–90°, in order of rising 2θ:
- (1 1 4), 2θ 33.42, I 64
- (2 2 -2), 2θ 34.23, I 91
- (3 1 -3), 2θ 35.31, I 88
- (3 1 1), 2θ 36.27, I 85
- (0 2 4), 2θ 37.42, I 72
- (2 2 2), 2θ 38.18, I 100
- (1 3 -1), 2θ 41.32, I 88
- (2 2 3), 2θ 41.96, I 57

Cell and atoms:
abc: 8.8310 6.8001 14.0328
angles: 90.00 104.44 90.00
Space group C2/c (No. 15)
One atom of each set of equivalent atoms:
Hf 0.0718 0.2473 0.1525 x8
Hf 0.1507 0.0585 0.9648 x8
Hf 0.1851 0.2492 0.6414 x8
Ga 0.0000 0.0684 0.7500 x4
Ga 0.0000 0.5000 0.0000 x4
Au 0.1304 0.4132 0.8316 x8


[3]
Structure and theoretical XRD peak list of Dy6HoEr4 (a DFT-relaxed cell (PBE, Alexandria); CuKα).
Neutral-atom scattering factors, no anomalous dispersion.

Principal peaks in the range 2θ = 15–90°, in order of rising 2θ:
- (1 1 7), 2θ 30.74, I 67
- (0 2 7), 2θ 30.95, I 49
- (2 0 0), 2θ 31.69, I 63
- (1 3 0), 2θ 32.29, I 100
- (1 3 1), 2θ 32.49, I 19
- (1 1 8), 2θ 33.71, I 45
- (2 2 7), 2θ 44.88, I 35
- (3 3 0), 2θ 56.85, I 38

Cell and atoms:
abc: 5.6474 9.5471 25.4071
angles: 90.00 90.00 90.00
Space group Cmcm (No. 63)
One atom of each set of equivalent atoms:
Dy 0.0000 0.0000 0.0000 x4
Dy 0.0000 0.0248 0.2500 x4
Dy 0.0000 0.3089 0.6039 x8
Dy 0.0000 0.3590 0.1817 x8
Ho 0.0000 0.3098 0.7500 x4
Er 0.0000 0.0294 0.1216 x8
Er 0.0000 0.3436 0.0427 x8


[4]
Structure and theoretical XRD peak list of Zn5Cu5Au2 (a DFT-relaxed cell (PBE, Alexandria); CuKα).
Neutral-atom scattering factors, no anomalous dispersion.

Principal peaks in the range 2θ = 15–90°, in order of rising 2θ:
- (2 0 -1), 2θ 15.63, I 9
- (3 1 1), 2θ 40.83, I 100
- (6 0 -2), 2θ 46.50, I 17
- (0 2 0), 2θ 46.96, I 17
- (0 0 4), 2θ 49.03, I 14
- (6 2 -2), 2θ 68.22, I 10
- (0 2 4), 2θ 70.23, I 9
- (3 3 1), 2θ 83.01, I 12

Cell and atoms:
abc: 11.7187 3.8701 8.4033
angles: 90.00 117.83 90.00
Space group C2/m (No. 12)
One atom of each set of equivalent atoms:
Zn 0.0000 0.0000 0.0000 x2
Zn 0.1670 0.0000 0.4952 x4
Zn 0.2478 0.0000 0.2382 x4
Cu 0.0000 0.5000 0.5000 x2
Cu 0.0878 0.5000 0.2508 x4
Cu 0.1588 0.5000 0.0020 x4
Au 0.0849 0.0000 0.7502 x4


[5]
Structure and theoretical XRD peak list of SrHg2B (a DFT-relaxed cell (PBE, Alexandria); CuKα).
Neutral-atom scattering factors, no anomalous dispersion.

Principal peaks in the range 2θ = 15–90°, in order of rising 2θ:
- (1 0 1), 2θ 16.65, I 64
- (1 0 3), 2θ 25.17, I 87
- (1 1 2), 2θ 25.46, I 48
- (2 0 2), 2θ 33.67, I 85
- (2 1 1), 2θ 35.24, I 100
- (1 0 5), 2θ 36.95, I 33
- (2 1 3), 2θ 40.20, I 33
- (2 0 6), 2θ 51.66, I 35

Cell and atoms:
abc: 5.8008 5.8008 13.3986
angles: 90.00 90.00 90.00
Space group I-42d (No. 122)
One atom of each set of equivalent atoms:
Sr 0.0000 0.0000 0.0000 x4
Hg 0.0618 0.2500 0.6250 x8
B 0.0000 0.0000 0.5000 x4


[6]
Structure and theoretical XRD peak list of YHfAu (a DFT-relaxed cell (PBE, Alexandria); CuKα).
Neutral-atom scattering factors, no anomalous dispersion.

Principal peaks in the range 2θ = 15–90°, in order of rising 2θ:
- (1 0 1), 2θ 16.03, I 25
- (0 1 1), 2θ 21.99, I 33
- (1 1 2), 2θ 31.57, I 59
- (2 1 1), 2θ 32.37, I 68
- (3 0 1), 2θ 37.26, I 36
- (0 2 0), 2θ 38.58, I 100
- (3 0 2), 2θ 42.16, I 35
- (2 1 3), 2θ 45.65, I 27

Cell and atoms:
abc: 7.5858 4.6700 8.0769
angles: 90.00 90.00 90.00
Space group Pnma (No. 62)
One atom of each set of equivalent atoms:
Y 0.0219 0.2500 0.1714 x4
Hf 0.1473 0.2500 0.5773 x4
Au 0.2146 0.7500 0.3956 x4


[7]
Structure and theoretical XRD peak list of Fe2WI (a DFT-relaxed cell (PBE, Alexandria); CuKα).
Neutral-atom scattering factors, no anomalous dispersion.

Principal peaks in the range 2θ = 15–90°, in order of rising 2θ:
- (1 1 1), 2θ 24.59, I 4
- (2 0 0), 2θ 28.47, I 25
- (2 2 0), 2θ 40.70, I 100
- (2 2 2), 2θ 50.42, I 7
- (4 0 0), 2θ 58.92, I 16
- (4 2 0), 2θ 66.72, I 10
- (4 2 2), 2θ 74.08, I 33
- (4 4 0), 2θ 88.15, I 11

Cell and atoms:
abc: 6.2696 6.2696 6.2696
angles: 90.00 90.00 90.00
Space group Fm-3m (No. 225)
One atom of each set of equivalent atoms:
Fe 0.2500 0.2500 0.2500 x8
W 0.0000 0.0000 0.0000 x4
I 0.0000 0.0000 0.5000 x4


[8]
Structure and theoretical XRD peak list of Nd5Sm2DyTm (a DFT-relaxed cell (PBE, Alexandria); CuKα).
Neutral-atom scattering factors, no anomalous dispersion.

Principal peaks in the range 2θ = 15–90°, in order of rising 2θ:
- (2 1 3), 2θ 28.15, I 43
- (2 2 0), 2θ 29.39, I 51
- (2 0 4), 2θ 29.74, I 100
- (3 2 1), 2θ 38.12, I 13
- (2 0 6), 2θ 38.36, I 14
- (4 1 3), 2θ 46.51, I 16
- (4 2 4), 2θ 52.34, I 27
- (2 2 8), 2θ 52.99, I 13

Cell and atoms:
abc: 8.5969 8.5969 16.8052
angles: 90.00 90.00 90.00
Space group I4/mcm (No. 140)
One atom of each set of equivalent atoms:
Nd 0.0000 0.0000 0.0000 x4
Nd 0.2168 0.2832 0.1428 x16
Sm 0.1218 0.3782 0.5000 x8
Dy 0.0000 0.0000 0.2500 x4
Tm 0.0000 0.5000 0.2500 x4


[9]
Structure and theoretical XRD peak list of BaTiO3 (a DFT-relaxed cell (PBE, Alexandria); CuKα).
Neutral-atom scattering factors, no anomalous dispersion.

Principal peaks in the range 2θ = 15–90°, in order of rising 2θ:
- (1 0 1), 2θ 21.80, I 37
- (0 1 2), 2θ 30.94, I 100
- (1 1 0), 2θ 31.11, I 98
- (0 2 1), 2θ 38.31, I 37
- (2 0 2), 2θ 44.45, I 67
- (1 2 2), 2θ 55.25, I 38
- (0 2 4), 2θ 64.49, I 19
- (2 2 0), 2θ 64.87, I 20

Cell and atoms:
abc: 5.7498 5.7498 7.0971
angles: 90.00 90.00 120.00
Space group R3m (No. 160, hexagonal axes)
One atom of each set of equivalent atoms:
Ba 0.0000 0.0000 0.0000 x3
Ti 0.0000 0.0000 0.4850 x3
O 0.0075 0.5037 0.0193 x9


[10]
Structure and theoretical XRD peak list of LiPrSn3 (a DFT-relaxed cell (PBE, Alexandria); CuKα).
Neutral-atom scattering factors, no anomalous dispersion.

Principal peaks in the range 2θ = 15–90°, in order of rising 2θ:
- (2 0 2), 2θ 31.41, I 52
- (2 2 0), 2θ 31.55, I 100
- (5 0 0), 2θ 33.66, I 70
- (3 0 2), 2θ 34.92, I 39
- (3 2 0), 2θ 35.05, I 34
- (0 2 2), 2θ 40.59, I 31
- (1 2 2), 2θ 41.18, I 39
- (2 4 2), 2θ 68.32, I 30

Cell and atoms:
abc: 13.3078 6.2698 6.3036
angles: 90.00 90.00 90.00
Space group Pbcm (No. 57)
One atom of each set of equivalent atoms:
Li 0.1056 0.2500 0.0000 x4
Pr 0.3095 0.0029 0.2500 x4
Sn 0.0794 0.6851 0.7500 x4
Sn 0.2584 0.0017 0.7500 x4
Sn 0.4977 0.7500 0.0000 x4


[11]
Structure and theoretical XRD peak list of Nd3Y2In4 (a DFT-relaxed cell (PBE, Alexandria); CuKα).
Neutral-atom scattering factors, no anomalous dispersion.

Principal peaks in the range 2θ = 15–90°, in order of rising 2θ:
- (0 1 3), 2θ 32.23, I 100
- (1 1 0), 2θ 33.30, I 97
- (2 0 3), 2θ 47.02, I 34
- (1 0 6), 2θ 56.77, I 17
- (1 2 3), 2θ 58.83, I 35
- (3 0 0), 2θ 59.50, I 18
- (2 1 6), 2θ 77.31, I 14
- (3 1 3), 2θ 79.09, I 15

Cell and atoms:
abc: 5.3818 5.3818 10.3778
angles: 90.00 90.00 120.00
Space group P-3m1 (No. 164)
One atom of each set of equivalent atoms:
Nd 0.0000 0.0000 0.0000 x1
Nd 0.3333 0.6667 0.4218 x2
Y 0.3333 0.6667 0.7793 x2
In 0.0000 0.0000 0.3449 x2
In 0.3333 0.6667 0.1003 x2


[12]
Structure and theoretical XRD peak list of CoTc3C (a DFT-relaxed cell (PBE, Alexandria); CuKα).
Neutral-atom scattering factors, no anomalous dispersion.

Principal peaks in the range 2θ = 15–90°, in order of rising 2θ:
- (1 0 0), 2θ 22.15, I 7
- (1 1 0), 2θ 31.53, I 2
- (1 1 1), 2θ 38.87, I 100
- (2 0 0), 2θ 45.19, I 54
- (2 1 0), 2θ 50.87, I 3
- (2 2 0), 2θ 65.82, I 33
- (3 1 1), 2θ 79.15, I 35
- (2 2 2), 2θ 83.43, I 11

Cell and atoms:
abc: 4.0134 4.0134 4.0134
angles: 90.00 90.00 90.00
Space group Pm-3m (No. 221)
One atom of each set of equivalent atoms:
Co 0.0000 0.0000 0.0000 x1
Tc 0.0000 0.5000 0.5000 x3
C 0.5000 0.5000 0.5000 x1


[13]
Structure and theoretical XRD peak list of Mo5C7 (a DFT-relaxed cell (PBE, Alexandria); CuKα).
Neutral-atom scattering factors, no anomalous dispersion.

Principal peaks in the range 2θ = 15–90°, in order of rising 2θ:
- (2 0 0), 2θ 26.59, I 38
- (0 0 2), 2θ 31.85, I 60
- (2 1 1), 2θ 33.89, I 72
- (2 2 0), 2θ 37.96, I 57
- (2 0 2), 2θ 41.95, I 67
- (3 0 1), 2θ 43.58, I 100
- (2 2 2), 2θ 50.36, I 41
- (5 2 1), 2θ 78.73, I 31

Cell and atoms:
abc: 6.7045 6.7045 5.6202
angles: 90.00 90.00 90.00
Space group I4mm (No. 107)
One atom of each set of equivalent atoms:
Mo 0.0000 0.0000 0.0000 x2
Mo 0.2007 0.2007 0.5948 x8
C 0.0000 0.0000 0.3814 x2
C 0.0000 0.3074 0.8876 x8
C 0.0000 0.5000 0.4730 x4